Entry 1:
The following is a computed X-ray powder pattern of Mn3P2O8. It was derived from a DFT-relaxed cell (PBE+U, Alexandria), using λ = 1.5418 Å (Cu Kα).
Kinematic intensities with the Lorentz-polarization factor, no thermal factor.

Largest 8 diffraction maxima, by angle, 2θ from 10° to 90°:
d (Å)	Position (°2θ)	I_rel	(hkl)
4.409	20.14	28	1 0 -2
4.174	21.29	46	1 1 -1
3.176	28.10	100	0 2 1
2.971	30.08	46	1 1 -3
2.729	32.81	74	1 0 2
2.648	33.85	52	2 0 -2
2.193	41.17	36	0 3 1
1.672	54.92	31	2 3 -3

Cell and atoms:
Cell lengths 5.3166, 6.7792, 10.1338 Å; angles 90.00, 116.52, 90.00 degrees
Positions (direct):
Mn: 0.0000 0.0000 0.0000
Mn: 0.0000 0.5000 0.5000
Mn: 0.2863 0.1575 0.3718
Mn: 0.2863 0.3425 0.8718
Mn: 0.7137 0.6575 0.1282
Mn: 0.7137 0.8425 0.6282
P: 0.3428 0.6676 0.3077
P: 0.3428 0.8324 0.8077
P: 0.6572 0.1676 0.1923
P: 0.6572 0.3324 0.6923
O: 0.1302 0.7101 0.1453
O: 0.1302 0.7899 0.6453
O: 0.2355 0.0125 0.8633
O: 0.2355 0.4875 0.3633
O: 0.3599 0.1282 0.1826
O: 0.3599 0.3718 0.6826
O: 0.3695 0.6557 0.9115
O: 0.3695 0.8443 0.4115
O: 0.6305 0.1557 0.5885
O: 0.6305 0.3443 0.0885
O: 0.6401 0.6282 0.3174
O: 0.6401 0.8718 0.8174
O: 0.7645 0.5125 0.6367
O: 0.7645 0.9875 0.1367
O: 0.8698 0.2101 0.3547
O: 0.8698 0.2899 0.8547

Entry 2:
The following is a computed X-ray powder pattern of Mn3P4O14. It was derived from a DFT-relaxed cell (PBE+U, Alexandria), using λ = 1.5418 Å (Cu Kα).
Kinematic intensities with the Lorentz-polarization factor, no thermal factor.

Largest 8 diffraction maxima, by angle, 2θ from 10° to 90°:
d (Å)	Position (°2θ)	I_rel	(hkl)
7.367	12.01	25	0 0 1
6.536	13.55	100	0 1 0
4.697	18.89	83	0 1 -1
3.719	23.93	98	1 -1 1
3.447	25.84	24	1 1 2
3.331	26.76	46	0 1 2
2.851	31.38	48	2 1 0
2.698	33.21	26	1 2 2

Cell and atoms:
Cell lengths 6.1677, 6.7269, 7.7452 Å; angles 81.70, 72.66, 77.19 degrees
Positions (direct):
Mn: 0.0000 0.0000 0.0000
Mn: 0.2498 0.4611 0.3386
Mn: 0.7502 0.5389 0.6614
P: 0.2179 0.6843 0.6955
P: 0.3640 0.3055 0.9257
P: 0.6360 0.6945 0.0743
P: 0.7821 0.3157 0.3045
O: 0.0689 0.8828 0.7720
O: 0.0901 0.5978 0.5820
O: 0.2168 0.5283 0.8741
O: 0.2461 0.1462 0.8829
O: 0.3361 0.3008 0.1275
O: 0.3864 0.7092 0.1906
O: 0.4621 0.6939 0.5841
O: 0.5379 0.3061 0.4159
O: 0.6136 0.2908 0.8094
O: 0.6639 0.6992 0.8725
O: 0.7539 0.8538 0.1171
O: 0.7832 0.4717 0.1259
O: 0.9099 0.4022 0.4180
O: 0.9311 0.1172 0.2280